Entry 1:
Diffraction record for Cs3Ho2ScS6. The X-ray powder pattern is theoretical, not measured: it uses DFT lattice parameters and positions (PBE) and Cu Kα, 1.54184 Å.
Peak positions follow from Bragg's law for the DFT cell and can differ from measured ones.

Atomic structure:
Cell: 6.974 6.974 8.360 Å, 98.00 98.00 119.99°
Atoms (fractional coordinates):
Cs  0.000  0.000  0.000
Cs  0.332  0.668  0.000
Cs  0.668  0.332  0.000
Ho  0.167  0.833  0.500
Ho  0.833  0.167  0.500
Sc  0.500  0.500  0.500
S  0.118  0.441  0.322
S  0.237  0.237  0.679
S  0.441  0.118  0.322
S  0.559  0.882  0.678
S  0.763  0.763  0.321
S  0.882  0.559  0.678

Main lines, sorted by position (10 to 90 degrees two-theta):
d/Å  Position (°2θ)  I (rel.)
4.015  22.14  31.5
3.349  26.61  49.7
3.018  29.60  100.0
2.279  39.54  36.6
2.013  45.03  32.4
1.800  50.73  21.2



Entry 2:
Diffraction record for La3Tb6Tm2Sc. The X-ray powder pattern is theoretical, not measured: it uses DFT lattice parameters and positions (PBE) and Cu Kα, 1.54184 Å.
Peak positions follow from Bragg's law for the DFT cell and can differ from measured ones.

Atomic structure:
Cell: 6.190 6.190 11.832 Å, 95.02 95.02 120.04°
Atoms (fractional coordinates):
La  0.000  0.000  0.000
La  0.333  0.667  0.000
La  0.667  0.333  0.000
Tb  0.090  0.421  0.260
Tb  0.249  0.249  0.741
Tb  0.421  0.090  0.260
Tb  0.579  0.910  0.740
Tb  0.751  0.751  0.259
Tb  0.910  0.579  0.740
Tm  0.166  0.834  0.500
Tm  0.834  0.166  0.500
Sc  0.500  0.500  0.500

Main lines, sorted by position (10 to 90 degrees two-theta):
d/Å  Position (°2θ)  I (rel.)
2.917  30.65  100.0
2.914  30.68  98.0
2.525  35.55  99.5
1.786  51.16  69.7
1.523  60.83  75.4
1.159  83.41  19.7



Entry 3:
Diffraction record for Dy12Th2Sc. The X-ray powder pattern is theoretical, not measured: it uses DFT lattice parameters and positions (PBE) and Cu Kα, 1.54184 Å.
Peak positions follow from Bragg's law for the DFT cell and can differ from measured ones.

Atomic structure:
Cell: 6.397 6.397 25.584 Å, 91.65 91.65 114.89°
Atoms (fractional coordinates):
Dy  0.009  0.400  0.670
Dy  0.031  0.555  0.196
Dy  0.112  0.701  0.558
Dy  0.227  0.227  0.880
Dy  0.238  0.737  0.932
Dy  0.263  0.762  0.068
Dy  0.272  0.272  0.131
Dy  0.277  0.277  0.530
Dy  0.299  0.888  0.442
Dy  0.362  0.362  0.372
Dy  0.400  0.009  0.670
Dy  0.445  0.969  0.804
Dy  0.555  0.031  0.196
Dy  0.600  0.991  0.330
Dy  0.638  0.638  0.628
Dy  0.701  0.112  0.558
Dy  0.723  0.723  0.470
Dy  0.728  0.728  0.869
Dy  0.737  0.238  0.932
Dy  0.762  0.263  0.068
Dy  0.773  0.773  0.120
Dy  0.888  0.299  0.442
Dy  0.969  0.445  0.804
Dy  0.991  0.600  0.330
Th  0.065  0.065  0.254
Th  0.462  0.462  0.751
Th  0.538  0.538  0.249
Th  0.935  0.935  0.746
Sc  0.250  0.250  0.005
Sc  0.750  0.750  0.995

Main lines, sorted by position (10 to 90 degrees two-theta):
d/Å  Position (°2θ)  I (rel.)
2.855  31.34  19.3
2.799  31.97  31.7
2.783  32.16  14.7
2.747  32.59  100.0
2.707  33.09  16.8
2.696  33.23  32.4



Entry 4:
Diffraction record for PmNd2TcO8. The X-ray powder pattern is theoretical, not measured: it uses DFT lattice parameters and positions (PBE) and Cu Kα, 1.54184 Å.
Peak positions follow from Bragg's law for the DFT cell and can differ from measured ones.

Atomic structure:
Cell: 5.205 6.967 5.208 Å, 90.00 90.20 90.00°
Atoms (fractional coordinates):
Pm  0.000  0.000  0.000
Nd  0.500  0.252  0.500
Nd  0.500  0.748  0.500
Tc  0.000  0.500  0.000
O  0.178  0.298  0.823
O  0.178  0.702  0.823
O  0.256  0.500  0.258
O  0.307  0.000  0.309
O  0.693  0.000  0.691
O  0.744  0.500  0.742
O  0.822  0.298  0.177
O  0.822  0.702  0.177

Main lines, sorted by position (10 to 90 degrees two-theta):
d/Å  Position (°2θ)  I (rel.)
3.681  24.17  100.0
2.895  30.89  85.9
2.603  34.45  24.7
1.936  46.92  51.8
1.574  58.64  16.5
1.553  59.51  19.6



Entry 5:
Diffraction record for Nd6Sm2Tm3In. The X-ray powder pattern is theoretical, not measured: it uses DFT lattice parameters and positions (PBE) and Cu Kα, 1.54184 Å.
Peak positions follow from Bragg's law for the DFT cell and can differ from measured ones.

Atomic structure:
Cell: 6.201 6.201 11.843 Å, 95.01 95.01 120.09°
Atoms (fractional coordinates):
Nd  0.084  0.410  0.752
Nd  0.242  0.242  0.248
Nd  0.410  0.084  0.752
Nd  0.590  0.916  0.248
Nd  0.758  0.758  0.752
Nd  0.916  0.590  0.248
Sm  0.333  0.667  0.500
Sm  0.667  0.333  0.500
Tm  0.167  0.833  0.000
Tm  0.500  0.500  0.000
Tm  0.833  0.167  0.000
In  0.000  0.000  0.500

Main lines, sorted by position (10 to 90 degrees two-theta):
d/Å  Position (°2θ)  I (rel.)
2.922  30.60  99.1
2.917  30.65  98.7
2.528  35.50  100.0
1.789  51.04  35.5
1.526  60.70  42.1
1.524  60.79  41.9



Entry 6:
Diffraction record for KSmGe2I8. The X-ray powder pattern is theoretical, not measured: it uses DFT lattice parameters and positions (PBE) and Cu Kα, 1.54184 Å.
Peak positions follow from Bragg's law for the DFT cell and can differ from measured ones.

Atomic structure:
Cell: 7.273 7.754 9.627 Å, 85.61 86.33 86.23°
Atoms (fractional coordinates):
K  0.000  0.000  0.000
Sm  0.000  0.000  0.500
Ge  0.460  0.467  0.242
Ge  0.540  0.533  0.758
I  0.237  0.327  0.475
I  0.255  0.829  0.273
I  0.259  0.840  0.725
I  0.275  0.366  0.028
I  0.725  0.634  0.972
I  0.741  0.160  0.275
I  0.745  0.171  0.727
I  0.763  0.673  0.525

Main lines, sorted by position (10 to 90 degrees two-theta):
d/Å  Position (°2θ)  I (rel.)
3.783  23.52  33.6
3.622  24.58  28.6
3.512  25.36  44.7
3.493  25.50  100.0
3.439  25.91  32.1
3.322  26.83  37.6